# 1
Starting from a crystal structure in the Materials Project, relaxed with PBE+U, the X-ray diffraction stick pattern of CoH8Cl2O4 was computed for Cu Ka.
Kinematic intensities with the Lorentz-polarization factor, no thermal factor.

Top 8 peaks for 10 to 90 degrees two-theta, low angle first:
14.51 deg, intensity 69, hkl 0 0 2; 18.58 deg, intensity 35, hkl 0 2 1; 19.25 deg, intensity 100, hkl 1 1 1; 21.36 deg, intensity 61, hkl 1 1 -2; 23.59 deg, intensity 47, hkl 1 1 2; 29.83 deg, intensity 52, hkl 1 3 0; 31.17 deg, intensity 63, hkl 2 1 -1; 34.48 deg, intensity 37, hkl 1 0 4

Structural model:
Unit cell a=6.022 b=10.380 c=12.290 alpha=90.00 beta=96.55 gamma=90.00
Space group P2_1/c (No. 14)
Symmetry-distinct sites (fractional):
Co 0.189 0.112 0.255 (multiplicity 4)
H 0.005 0.002 0.970 (multiplicity 4)
H 0.031 0.665 0.712 (multiplicity 4)
H 0.125 0.749 0.312 (multiplicity 4)
H 0.132 0.122 0.457 (multiplicity 4)
H 0.256 0.510 0.941 (multiplicity 4)
H 0.372 0.642 0.583 (multiplicity 4)
H 0.421 0.185 0.706 (multiplicity 4)
H 0.467 0.217 0.112 (multiplicity 4)
Cl 0.215 0.708 0.977 (multiplicity 4)
Cl 0.469 0.069 0.863 (multiplicity 4)
O 0.045 0.518 0.709 (multiplicity 4)
O 0.056 0.741 0.234 (multiplicity 4)
O 0.254 0.083 0.421 (multiplicity 4)
O 0.376 0.232 0.173 (multiplicity 4)


# 2
Starting from a crystal structure in the Materials Project, relaxed with PBE+U, the X-ray diffraction stick pattern of Li3NiF6 was computed for Cu Ka.
Kinematic intensities with the Lorentz-polarization factor, no thermal factor.

Top 8 peaks for 10 to 90 degrees two-theta, low angle first:
20.15 deg, intensity 75, hkl 1 1 1; 23.31 deg, intensity 100, hkl 2 0 0; 33.20 deg, intensity 13, hkl 2 2 0; 39.15 deg, intensity 34, hkl 3 1 1; 47.66 deg, intensity 49, hkl 4 0 0; 53.71 deg, intensity 33, hkl 4 2 0; 69.69 deg, intensity 25, hkl 4 4 0; 74.61 deg, intensity 13, hkl 6 0 0

Structural model:
Unit cell a=7.632 b=7.632 c=7.632 alpha=90.00 beta=90.00 gamma=90.00
Space group Fm-3m (No. 225)
Symmetry-distinct sites (fractional):
Li 0.000 0.000 0.000 (multiplicity 4)
Li 0.250 0.250 0.250 (multiplicity 8)
Ni 0.000 0.000 0.500 (multiplicity 4)
F 0.000 0.000 0.255 (multiplicity 24)


# 3
Starting from a crystal structure in the Materials Project, relaxed with PBE+U, the X-ray diffraction stick pattern of Li7Co5O12 was computed for Cu Ka.
Kinematic intensities with the Lorentz-polarization factor, no thermal factor.

Top 8 peaks for 10 to 90 degrees two-theta, low angle first:
17.79 deg, intensity 10, hkl 0 0 1; 18.51 deg, intensity 100, hkl 6 0 0; 35.92 deg, intensity 30, hkl 1 1 1; 36.08 deg, intensity 13, hkl 4 0 -2; 43.57 deg, intensity 59, hkl 7 1 1; 43.93 deg, intensity 28, hkl 10 0 -2; 57.62 deg, intensity 12, hkl 13 1 1; 63.60 deg, intensity 30, hkl 3 1 -3

Structural model:
Unit cell a=29.158 b=2.931 c=5.064 alpha=90.00 beta=99.46 gamma=90.00
Space group C2/m (No. 12)
Symmetry-distinct sites (fractional):
Li 0.000 0.000 0.000 (multiplicity 2)
Li 0.082 0.000 0.414 (multiplicity 4)
Li 0.082 0.500 0.923 (multiplicity 4)
Li 0.250 0.000 0.252 (multiplicity 4)
Co 0.000 0.500 0.500 (multiplicity 2)
Co 0.166 0.000 0.833 (multiplicity 4)
Co 0.166 0.500 0.334 (multiplicity 4)
O 0.036 0.000 0.683 (multiplicity 4)
O 0.037 0.500 0.248 (multiplicity 4)
O 0.127 0.000 0.130 (multiplicity 4)
O 0.129 0.500 0.634 (multiplicity 4)
O 0.205 0.000 0.535 (multiplicity 4)
O 0.205 0.500 0.036 (multiplicity 4)